1.
CaB3O9: simulated X-ray diffraction stick pattern (Cu Kα, 1.54184 Å), based on a PBE-relaxed structure.
Neutral-atom scattering factors, no anomalous dispersion.

Cell and atoms:
```
data_CaB3O9
_chemical_formula_sum 'Ca2 B6 O18'
_space_group_name_H-M_alt 'P -1'
_space_group_IT_number 2
_cell_length_a 6.515
_cell_length_b 6.718
_cell_length_c 8.138
_cell_angle_alpha 93.53
_cell_angle_beta 92.76
_cell_angle_gamma 104.43
loop_
_space_group_symop_operation_xyz
'x,y,z'
'-x,-y,-z'
loop_
_atom_site_label
_atom_site_fract_x
_atom_site_fract_y
_atom_site_fract_z
Ca1 0.236 0.484 0.348
B1 0.037 0.165 0.821
B2 0.208 0.519 0.740
B3 0.322 0.178 0.635
O1 0.028 0.368 0.801
O2 0.102 0.938 0.069
O3 0.141 0.623 0.610
O4 0.164 0.072 0.734
O5 0.283 0.168 0.460
O6 0.326 0.669 0.868
O7 0.341 0.347 0.090
O8 0.374 0.419 0.666
O9 0.462 0.835 0.342
```

Top 10 peaks for 10 to 90 degrees two-theta, in order of falling intensity:
2θ 13.7, d 6.487, I = 100, hkl 0 1 0
2θ 28.0, d 3.192, I = 59, hkl -1 1 2
2θ 10.9, d 8.105, I = 57, hkl 0 0 1
2θ 25.5, d 3.491, I = 39, hkl 1 1 1
2θ 18.2, d 4.886, I = 39, hkl 0 1 1
2θ 27.8, d 3.213, I = 37, hkl 1 -1 2
2θ 45.3, d 2.001, I = 31, hkl 0 2 3
2θ 28.9, d 3.094, I = 25, hkl 0 2 -1
2θ 17.0, d 5.227, I = 24, hkl 1 -1 0
2θ 21.9, d 4.050, I = 24, hkl 0 0 2

2.
CaB8O15: simulated X-ray diffraction stick pattern (Cu Kα, 1.54184 Å), based on a PBE-relaxed structure.
Neutral-atom scattering factors, no anomalous dispersion.

Cell and atoms:
```
data_CaB8O15
_chemical_formula_sum 'Ca2 B16 O30'
_space_group_name_H-M_alt 'P 1 21 1'
_space_group_IT_number 4
_cell_length_a 7.386
_cell_length_b 8.412
_cell_length_c 9.919
_cell_angle_alpha 90.00
_cell_angle_beta 109.42
_cell_angle_gamma 90.00
loop_
_space_group_symop_operation_xyz
'x,y,z'
'-x,y+1/2,-z'
loop_
_atom_site_label
_atom_site_fract_x
_atom_site_fract_y
_atom_site_fract_z
Ca1 0.087 0.000 0.266
B1 0.008 0.322 0.484
B2 0.035 0.332 0.021
B3 0.090 0.083 0.906
B4 0.096 0.083 0.645
B5 0.123 0.371 0.281
B6 0.398 0.486 0.732
B7 0.399 0.083 0.856
B8 0.418 0.466 0.478
O1 0.002 0.236 0.601
O2 0.018 0.011 0.757
O3 0.020 0.246 0.900
O4 0.031 0.986 0.005
O5 0.062 0.975 0.524
O6 0.073 0.263 0.380
O7 0.103 0.273 0.157
O8 0.267 0.513 0.797
O9 0.302 0.088 0.953
O10 0.304 0.105 0.712
O11 0.319 0.434 0.341
O12 0.328 0.463 0.583
O13 0.393 0.004 0.462
O14 0.407 0.558 0.096
O15 0.407 0.974 0.212
```

Top 10 peaks for 10 to 90 degrees two-theta, in order of falling intensity:
2θ 12.7, d 6.966, I = 100, hkl 1 0 0
2θ 21.1, d 4.206, I = 69, hkl 0 2 0
2θ 16.5, d 5.365, I = 44, hkl 1 1 0
2θ 44.4, d 2.042, I = 27, hkl 0 2 4
2θ 33.4, d 2.687, I = 24, hkl 0 3 1
2θ 25.6, d 3.483, I = 19, hkl 2 0 0
2θ 24.9, d 3.572, I = 18, hkl 1 2 -1
2θ 42.3, d 2.136, I = 17, hkl 1 2 -4
2θ 27.7, d 3.218, I = 16, hkl 2 1 0
2θ 24.7, d 3.601, I = 15, hkl 1 2 0

3.
CaB2O10: simulated X-ray diffraction stick pattern (Cu Kα, 1.54184 Å), based on a PBE-relaxed structure.
Neutral-atom scattering factors, no anomalous dispersion.

Cell and atoms:
```
data_CaB2O10
_chemical_formula_sum 'Ca4 B8 O40'
_space_group_name_H-M_alt 'C 1 2/c 1'
_space_group_IT_number 15
_cell_length_a 13.730
_cell_length_b 5.750
_cell_length_c 8.768
_cell_angle_alpha 90.00
_cell_angle_beta 90.67
_cell_angle_gamma 90.00
loop_
_space_group_symop_operation_xyz
'x,y,z'
'-x,-y,-z'
'-x,y,-z+1/2'
'x,-y,z+1/2'
'x+1/2,y+1/2,z'
'-x+1/2,-y+1/2,-z'
'-x+1/2,y+1/2,-z+1/2'
'x+1/2,-y+1/2,z+1/2'
loop_
_atom_site_label
_atom_site_fract_x
_atom_site_fract_y
_atom_site_fract_z
Ca1 0.000 0.141 0.250
B1 0.094 0.327 0.914
O1 0.005 0.244 0.554
O2 0.098 0.444 0.356
O3 0.129 0.144 0.817
O4 0.134 0.263 0.062
O5 0.240 0.255 0.433
```

Top 10 peaks for 10 to 90 degrees two-theta, in order of falling intensity:
2θ 12.9, d 6.865, I = 100, hkl 2 0 0
2θ 27.0, d 3.304, I = 75, hkl 3 1 1
2θ 24.0, d 3.714, I = 57, hkl 2 0 -2
2θ 39.6, d 2.274, I = 39, hkl 3 1 -3
2θ 37.6, d 2.391, I = 39, hkl 5 1 -1
2θ 31.1, d 2.875, I = 36, hkl 0 2 0
2θ 40.0, d 2.254, I = 24, hkl 3 1 3
2θ 53.4, d 1.716, I = 22, hkl 8 0 0
2θ 26.4, d 3.371, I = 21, hkl 1 1 2
2θ 37.4, d 2.404, I = 18, hkl 0 2 2

4.
CaB2O10: simulated X-ray diffraction stick pattern (Cu Kα, 1.54184 Å), based on a PBE-relaxed structure.
Neutral-atom scattering factors, no anomalous dispersion.

Cell and atoms:
```
data_CaB2O10
_chemical_formula_sum 'Ca2 B4 O20'
_space_group_name_H-M_alt 'P 1 2/c 1'
_space_group_IT_number 13
_cell_length_a 12.394
_cell_length_b 7.024
_cell_length_c 10.619
_cell_angle_alpha 90.00
_cell_angle_beta 110.55
_cell_angle_gamma 90.00
loop_
_space_group_symop_operation_xyz
'x,y,z'
'-x,-y,-z'
'-x,y,-z+1/2'
'x,-y,z+1/2'
loop_
_atom_site_label
_atom_site_fract_x
_atom_site_fract_y
_atom_site_fract_z
Ca1 0.000 0.043 0.250
B1 0.099 0.254 0.557
O1 0.081 0.435 0.593
O2 0.099 0.200 0.436
O3 0.114 0.136 0.664
O4 0.148 0.250 0.975
O5 0.232 0.195 0.067
```

Top 10 peaks for 10 to 90 degrees two-theta, in order of falling intensity:
2θ 25.0, d 3.559, I = 100, hkl 3 1 -1
2θ 12.6, d 7.024, I = 68, hkl 0 1 0
2θ 31.6, d 2.830, I = 65, hkl 4 1 -1
2θ 31.2, d 2.868, I = 55, hkl 0 2 2
2θ 14.7, d 6.009, I = 51, hkl 1 1 0
2θ 22.9, d 3.890, I = 47, hkl 2 1 -2
2θ 28.9, d 3.093, I = 42, hkl 2 1 -3
2θ 16.8, d 5.292, I = 41, hkl 1 0 -2
2θ 26.9, d 3.314, I = 38, hkl 3 1 -2
2θ 21.0, d 4.226, I = 34, hkl 1 1 -2

5.
CaB3O6: simulated X-ray diffraction stick pattern (Cu Kα, 1.54184 Å), based on a PBE-relaxed structure.
Neutral-atom scattering factors, no anomalous dispersion.

Cell and atoms:
```
data_CaB3O6
_chemical_formula_sum 'Ca4 B12 O24'
_space_group_name_H-M_alt 'P n a 21'
_space_group_IT_number 33
_cell_length_a 13.717
_cell_length_b 7.029
_cell_length_c 4.463
_cell_angle_alpha 90.00
_cell_angle_beta 90.00
_cell_angle_gamma 90.00
loop_
_space_group_symop_operation_xyz
'x,y,z'
'-x,-y,z+1/2'
'-x+1/2,y+1/2,z+1/2'
'x+1/2,-y+1/2,z'
loop_
_atom_site_label
_atom_site_fract_x
_atom_site_fract_y
_atom_site_fract_z
Ca1 0.091 0.226 0.000
B1 0.074 0.714 0.049
B2 0.146 0.845 0.556
B3 0.231 0.597 0.850
O1 0.025 0.322 0.458
O2 0.073 0.761 0.364
O3 0.096 0.883 0.853
O4 0.145 0.554 0.991
O5 0.179 0.027 0.428
O6 0.233 0.725 0.615
```

Top 10 peaks for 10 to 90 degrees two-theta, in order of falling intensity:
2θ 25.3, d 3.514, I = 100, hkl 0 2 0
2θ 24.5, d 3.633, I = 81, hkl 1 1 1
2θ 23.6, d 3.768, I = 80, hkl 0 1 1
2θ 23.8, d 3.741, I = 79, hkl 2 0 1
2θ 43.6, d 2.074, I = 79, hkl 0 3 1
2θ 28.5, d 3.128, I = 63, hkl 2 2 0
2θ 40.4, d 2.232, I = 62, hkl 0 0 2
2θ 47.4, d 1.916, I = 56, hkl 6 2 0
2θ 46.5, d 1.955, I = 53, hkl 6 1 1
2θ 40.7, d 2.218, I = 48, hkl 2 3 0